(1)
Diffraction record for Sr4SnHg. The XRD peak list is theoretical, not measured: it uses a structure optimized by DFT (PBE) and Cu Kα X-rays.

Atomic structure:
a b c (Å): 6.9614 8.0299 9.9827
angles (deg): 76.21 70.67 87.86
Space group P-1 (No. 2)
One atom of each set of equivalent atoms:
Sr: 0.0111 0.4399 0.1984 (multiplicity 2)
Sr: 0.0419 0.0941 0.6717 (multiplicity 2)
Sr: 0.4353 0.8257 0.8828 (multiplicity 2)
Sr: 0.4675 0.6637 0.3318 (multiplicity 2)
Sn: 0.1391 0.1626 0.9802 (multiplicity 2)
Hg: 0.0000 0.5000 0.5000 (multiplicity 1)
Hg: 0.5000 0.0000 0.5000 (multiplicity 1)

Most intense lines, 2θ = 15–90°, most intense first:
two_theta	I_rel	index
27.57	100.0	1 1 3
27.18	81.3	2 0 0
32.63	70.8	1 -1 3
35.75	60.0	-1 1 3
26.95	49.4	0 2 -1
18.94	42.0	1 -1 1
18.07	38.5	1 1 0
36.67	37.7	2 2 3

=====

(2)
Diffraction record for DyThZn3. The XRD peak list is theoretical, not measured: it uses a structure optimized by DFT (PBE) and Cu Kα X-rays.

Atomic structure:
a b c (Å): 3.5732 27.3351 4.5517
angles (deg): 90.00 90.00 90.00
Space group Cmcm (No. 63)
One atom of each set of equivalent atoms:
Dy: 0.0000 0.2091 0.2500 (multiplicity 4)
Th: 0.0000 0.0737 0.7500 (multiplicity 4)
Zn: 0.0000 0.3255 0.2500 (multiplicity 4)
Zn: 0.0000 0.3792 0.7500 (multiplicity 4)
Zn: 0.0000 0.4763 0.7500 (multiplicity 4)

Most intense lines, 2θ = 15–90°, most intense first:
two_theta	I_rel	index
33.36	100.0	1 3 1
34.01	56.0	1 7 0
38.41	50.2	0 10 1
23.48	35.7	0 4 1
39.59	35.7	0 0 2
53.17	31.7	1 7 2
65.72	20.4	2 10 1
51.13	14.5	2 0 0

=====

(3)
Diffraction record for RbSi2SBr. The XRD peak list is theoretical, not measured: it uses a structure optimized by DFT (PBE) and Cu Kα X-rays.

Atomic structure:
a b c (Å): 6.6466 6.6466 5.9507
angles (deg): 90.00 90.00 90.00
Space group P4/mmm (No. 123)
One atom of each set of equivalent atoms:
Rb: 0.0000 0.0000 0.0000 (multiplicity 1)
Si: 0.0000 0.5000 0.0000 (multiplicity 2)
S: 0.5000 0.5000 0.5000 (multiplicity 1)
Br: 0.0000 0.0000 0.5000 (multiplicity 1)

Most intense lines, 2θ = 15–90°, most intense first:
two_theta	I_rel	index
26.83	100.0	2 0 0
30.05	76.3	0 0 2
18.88	70.7	1 1 0
40.71	70.4	2 0 2
43.02	45.9	3 1 0
49.43	44.2	2 2 2
38.30	36.9	2 2 0
70.87	35.0	4 2 2

=====

(4)
Diffraction record for Zr4ReHg. The XRD peak list is theoretical, not measured: it uses a structure optimized by DFT (PBE) and Cu Kα X-rays.

Atomic structure:
a b c (Å): 8.3072 4.7822 7.8353
angles (deg): 90.00 110.63 90.00
Space group C2/m (No. 12)
One atom of each set of equivalent atoms:
Zr: 0.1178 0.0000 0.3520 (multiplicity 4)
Zr: 0.1344 0.5000 0.9037 (multiplicity 4)
Re: 0.0000 0.0000 0.0000 (multiplicity 2)
Hg: 0.0000 0.5000 0.5000 (multiplicity 2)

Most intense lines, 2θ = 15–90°, most intense first:
two_theta	I_rel	index
37.56	100.0	0 2 0
22.92	88.4	1 1 -1
39.31	80.2	2 0 2
45.23	32.9	3 1 1
55.50	29.2	2 2 2
24.28	28.1	0 0 2
69.01	20.1	1 3 -3
44.46	15.9	4 0 -2

=====

(5)
Diffraction record for CsBeSb. The XRD peak list is theoretical, not measured: it uses a structure optimized by DFT (PBE) and Cu Kα X-rays.

Atomic structure:
a b c (Å): 4.1394 7.0555 7.7971
angles (deg): 104.88 105.35 90.06
Space group P-1 (No. 2)
One atom of each set of equivalent atoms:
Cs: 0.0943 0.3058 0.1908 (multiplicity 2)
Be: 0.2200 0.9318 0.4390 (multiplicity 2)
Sb: 0.3620 0.1986 0.7250 (multiplicity 2)

Most intense lines, 2θ = 15–90°, most intense first:
two_theta	I_rel	index
26.77	100.0	-1 1 1
29.16	85.3	1 1 -2
24.57	77.2	0 0 2
26.21	42.2	0 2 0
25.81	37.6	0 2 -1
47.60	28.2	1 3 0
30.90	24.9	0 2 -2
33.41	24.5	1 1 1

=====

(6)
Diffraction record for RbCa2N. The XRD peak list is theoretical, not measured: it uses a structure optimized by DFT (PBE) and Cu Kα X-rays.

Atomic structure:
a b c (Å): 10.7108 10.7108 10.7108
angles (deg): 90.00 90.00 90.00
Space group Fd-3m (No. 227, origin choice 2)
One atom of each set of equivalent atoms:
Rb: 0.1250 0.1250 0.1250 (multiplicity 8)
Ca: 0.0000 0.0000 0.5000 (multiplicity 16)
N: 0.1250 0.1250 0.6250 (multiplicity 8)

Most intense lines, 2θ = 15–90°, most intense first:
two_theta	I_rel	index
27.62	100.0	3 1 1
23.49	88.3	2 2 0
48.05	38.9	4 4 0
41.29	37.0	4 2 2
43.92	36.7	5 1 1
28.88	24.7	2 2 2
67.13	22.8	7 3 1
65.18	17.8	6 4 2